Starting from a cell relaxed with PBE, the powder XRD pattern of TbPm9Al2 was calculated for Cu Ka.

Top 10 peaks for 2θ = 10–90°, sorted by position:
31.3 deg, I 100; 35.7 deg, I 17; 36.5 deg, I 34; 52.0 deg, I 23; 52.6 deg, I 12; 61.4 deg, I 13; 62.5 deg, I 28; 65.2 deg, I 11; 85.0 deg, I 10; 86.0 deg, I 6

Cell and atoms:
```
data_TbPm9Al2
_chemical_formula_sum 'Tb1 Pm9 Al2'
_cell_length_a 4.9207
_cell_length_b 4.9207
_cell_length_c 15.0954
_cell_angle_alpha 90.00
_cell_angle_beta 90.00
_cell_angle_gamma 90.00
_symmetry_space_group_name_H-M 'P 4/m m m'
_symmetry_Int_Tables_number 123
_symmetry_space_group_name_Hall '-P 4 2'
loop_
_atom_site_label
_atom_site_type_symbol
_atom_site_fract_x
_atom_site_fract_y
_atom_site_fract_z
Tb1 Tb 0.0000 0.0000 0.0000
Pm1 Pm 0.0000 0.5000 0.1776
Pm2 Pm 0.0000 0.5000 0.5000
Pm3 Pm 0.5000 0.5000 0.0000
Pm4 Pm 0.5000 0.5000 0.3400
Al1 Al 0.0000 0.0000 0.3399
```

***

Starting from a cell relaxed with PBE, the powder XRD pattern of TbPmAl was calculated for Cu Ka.

Top 10 peaks for 2θ = 10–90°, sorted by position:
23.3 deg, I 50; 26.4 deg, I 81; 35.5 deg, I 100; 37.7 deg, I 46; 44.8 deg, I 36; 54.3 deg, I 16; 59.9 deg, I 15; 61.4 deg, I 15; 62.2 deg, I 16; 66.6 deg, I 32

Cell and atoms:
```
data_TbPmAl
_chemical_formula_sum 'Tb2 Pm2 Al2'
_cell_length_a 4.7754
_cell_length_b 4.7754
_cell_length_c 7.6394
_cell_angle_alpha 90.00
_cell_angle_beta 90.00
_cell_angle_gamma 90.00
_symmetry_space_group_name_H-M 'P 4/n m m'
_symmetry_Int_Tables_number 129
loop_
_symmetry_equiv_pos_as_xyz
'x,y,z'
'-x,-y,-z'
'-y+1/2,x,z'
'y+1/2,-x,-z'
'-x+1/2,-y+1/2,z'
'x+1/2,y+1/2,-z'
'y,-x+1/2,z'
'-y,x+1/2,-z'
'x+1/2,-y,-z'
'-x+1/2,y,z'
'-y,-x,-z'
'y,x,z'
'-x,y+1/2,-z'
'x,-y+1/2,z'
'y+1/2,x+1/2,-z'
'-y+1/2,-x+1/2,z'
loop_
_atom_site_label
_atom_site_type_symbol
_atom_site_fract_x
_atom_site_fract_y
_atom_site_fract_z
Tb1 Tb 0.2500 0.2500 0.2469
Pm1 Pm 0.2500 0.2500 0.7182
Al1 Al 0.2500 0.7500 0.0000
```

***

Starting from a cell relaxed with PBE, the powder XRD pattern of Tb5PmAl was calculated for Cu Ka.

Top 10 peaks for 2θ = 10–90°, sorted by position:
15.3 deg, I 40; 23.2 deg, I 25; 24.1 deg, I 100; 28.5 deg, I 62; 31.0 deg, I 60; 32.4 deg, I 44; 33.1 deg, I 40; 36.2 deg, I 35; 41.3 deg, I 33; 60.1 deg, I 27

Cell and atoms:
```
data_Tb5PmAl
_chemical_formula_sum 'Tb10 Pm2 Al2'
_cell_length_a 7.6718
_cell_length_b 11.5448
_cell_length_c 6.1362
_cell_angle_alpha 90.00
_cell_angle_beta 90.00
_cell_angle_gamma 90.00
_symmetry_space_group_name_H-M 'I m m 2'
_symmetry_Int_Tables_number 44
_symmetry_space_group_name_Hall 'I 2 -2'
loop_
_atom_site_label
_atom_site_type_symbol
_atom_site_fract_x
_atom_site_fract_y
_atom_site_fract_z
Tb1 Tb 0.0000 0.0000 0.0000
Tb2 Tb 0.0000 0.2457 0.5250
Tb3 Tb 0.1866 0.5000 0.8171
Pm1 Pm 0.0000 0.5000 0.3005
Al1 Al 0.0000 0.0000 0.5473
```

***

Starting from a cell relaxed with PBE, the powder XRD pattern of TbPm5Al2 was calculated for Cu Ka.

Top 10 peaks for 2θ = 10–90°, sorted by position:
23.2 deg, I 19; 26.1 deg, I 56; 29.4 deg, I 18; 33.0 deg, I 60; 33.1 deg, I 100; 42.6 deg, I 15; 47.5 deg, I 22; 55.0 deg, I 15; 57.3 deg, I 30; 59.1 deg, I 42

Cell and atoms:
```
data_TbPm5Al2
_chemical_formula_sum 'Tb2 Pm10 Al4'
_cell_length_a 5.4070
_cell_length_b 5.4070
_cell_length_c 19.9928
_cell_angle_alpha 90.00
_cell_angle_beta 90.00
_cell_angle_gamma 120.00
_symmetry_space_group_name_H-M 'P 63/m m c'
_symmetry_Int_Tables_number 194
_symmetry_space_group_name_Hall '-P 6c 2c'
loop_
_atom_site_label
_atom_site_type_symbol
_atom_site_fract_x
_atom_site_fract_y
_atom_site_fract_z
Tb1 Tb 0.3333 0.6667 0.2500
Pm1 Pm 0.0000 0.0000 0.1554
Pm2 Pm 0.3333 0.6667 0.5557
Pm3 Pm 0.3333 0.6667 0.7500
Al1 Al 0.3333 0.6667 0.1006
```

***

Starting from a cell relaxed with PBE, the powder XRD pattern of PmAlTe4 was calculated for Cu Ka.

Top 10 peaks for 2θ = 10–90°, sorted by position:
21.1 deg, I 50; 25.5 deg, I 25; 28.6 deg, I 81; 29.1 deg, I 79; 33.2 deg, I 52; 34.0 deg, I 100; 36.4 deg, I 44; 48.8 deg, I 35; 53.7 deg, I 27; 55.3 deg, I 23

Cell and atoms:
```
data_PmAlTe4
_chemical_formula_sum 'Pm4 Al4 Te16'
_cell_length_a 6.9855
_cell_length_b 6.9855
_cell_length_c 16.1138
_cell_angle_alpha 90.00
_cell_angle_beta 90.00
_cell_angle_gamma 90.00
_symmetry_space_group_name_H-M 'I 41/a'
_symmetry_Int_Tables_number 88
loop_
_symmetry_equiv_pos_as_xyz
'x,y,z'
'-x,-y,-z'
'-y+3/4,x+1/4,z+1/4'
'y+3/4,-x+1/4,-z+1/4'
'-x+1/2,-y,z+1/2'
'x+1/2,y,-z+1/2'
'y+3/4,-x+3/4,z+3/4'
'-y+3/4,x+3/4,-z+3/4'
'x+1/2,y+1/2,z+1/2'
'-x+1/2,-y+1/2,-z+1/2'
'-y+1/4,x+3/4,z+3/4'
'y+1/4,-x+3/4,-z+3/4'
'-x,-y+1/2,z'
'x,y+1/2,-z'
'y+1/4,-x+1/4,z+1/4'
'-y+1/4,x+1/4,-z+1/4'
loop_
_atom_site_label
_atom_site_type_symbol
_atom_site_fract_x
_atom_site_fract_y
_atom_site_fract_z
Pm1 Pm 0.0000 0.2500 0.1250
Al1 Al 0.0000 0.2500 0.6250
Te1 Te 0.1734 0.4925 0.2821
```

***

Starting from a cell relaxed with PBE, the powder XRD pattern of PmAlTe3 was calculated for Cu Ka.

Top 10 peaks for 2θ = 10–90°, sorted by position:
16.3 deg, I 33; 26.7 deg, I 97; 27.4 deg, I 99; 27.8 deg, I 54; 29.1 deg, I 100; 30.2 deg, I 96; 30.8 deg, I 51; 37.2 deg, I 32; 45.0 deg, I 43; 48.8 deg, I 37

Cell and atoms:
```
data_PmAlTe3
_chemical_formula_sum 'Pm4 Al4 Te12'
_cell_length_a 7.8633
_cell_length_b 7.5564
_cell_length_c 11.1627
_cell_angle_alpha 90.00
_cell_angle_beta 90.00
_cell_angle_gamma 90.00
_symmetry_space_group_name_H-M 'P n a 21'
_symmetry_Int_Tables_number 33
_symmetry_space_group_name_Hall 'P 2c -2n'
loop_
_atom_site_label
_atom_site_type_symbol
_atom_site_fract_x
_atom_site_fract_y
_atom_site_fract_z
Pm1 Pm 0.1134 0.0852 0.0000
Al1 Al 0.2123 0.6456 0.1446
Te1 Te 0.0579 0.3115 0.5007
Te2 Te 0.1796 0.8273 0.6871
Te3 Te 0.2031 0.8532 0.3313
```